Starting from a cell relaxed with PBE+U, the powder XRD pattern of Sr3CaCo3CuO12 was calculated for copper Kα.

Most intense lines, 5 to 70 degrees two-theta, sorted by position:
(1 1 1), 19.91°, 4.459 Å, rel. 2.8; (2 2 0), 32.76°, 2.733 Å, rel. 100.0; (0 2 2), 32.86°, 2.725 Å, rel. 49.6; (2 2 2), 40.46°, 2.230 Å, rel. 13.3; (4 0 0), 46.86°, 1.939 Å, rel. 20.0; (0 4 0), 47.16°, 1.927 Å, rel. 39.2; (4 2 2), 58.42°, 1.580 Å, rel. 18.7; (2 4 2), 58.61°, 1.575 Å, rel. 36.9; (4 4 0), 68.67°, 1.367 Å, rel. 22.3; (0 4 4), 68.91°, 1.363 Å, rel. 11.0

Atomic structure:
Cell lengths 7.755, 7.710, 7.706 Å; angles 90.00, 90.00, 90.00 degrees
Atoms (fractional coordinates):
1 Sr 0.250 0.249 0.000
2 Sr 0.250 0.249 0.499
3 Sr 0.250 0.750 0.000
4 Sr 0.750 0.250 0.000
5 Sr 0.750 0.751 0.000
6 Sr 0.750 0.751 0.499
7 Ca 0.250 0.751 0.498
8 Ca 0.750 0.249 0.498
9 Co 0.000 0.000 0.747
10 Co 0.000 0.500 0.251
11 Co 0.000 0.500 0.748
12 Co 0.500 0.000 0.747
13 Co 0.500 0.500 0.251
14 Co 0.500 0.500 0.748
15 Cu 0.000 0.000 0.249
16 Cu 0.500 0.000 0.249
17 O 0.000 0.000 0.506
18 O 0.000 0.000 0.992
19 O 0.000 0.500 0.502
20 O 0.000 0.500 0.997
21 O 0.002 0.747 0.745
22 O 0.003 0.743 0.253
23 O 0.250 0.501 0.746
24 O 0.250 0.502 0.254
25 O 0.250 0.996 0.255
26 O 0.250 0.997 0.745
27 O 0.497 0.743 0.253
28 O 0.498 0.747 0.745
29 O 0.500 0.000 0.506
30 O 0.500 0.000 0.992
31 O 0.500 0.500 0.502
32 O 0.500 0.500 0.997
33 O 0.502 0.253 0.745
34 O 0.503 0.257 0.253
35 O 0.750 0.003 0.745
36 O 0.750 0.004 0.255
37 O 0.750 0.498 0.254
38 O 0.750 0.499 0.746
39 O 0.997 0.257 0.253
40 O 0.998 0.253 0.745